[1]
Calculated PXRD pattern
Compound: Ba8Bi2F17
Radiation: copper Kα
Structure: DFT lattice parameters and positions (GGA-PBE)
Peak positions follow from Bragg's law for the DFT cell and can differ from measured ones.

Structural model:
```
data_Ba8Bi2F17
_chemical_formula_sum 'Ba24 Bi6 F51'
_symmetry_space_group_name_H-M 'R 3 m'
_symmetry_Int_Tables_number 160
_symmetry_space_group_name_Hall 'R 3 -2"'
_cell_length_a 4.3924
_cell_length_b 4.3924
_cell_length_c 109.6307
_cell_angle_alpha 90.00
_cell_angle_beta 90.00
_cell_angle_gamma 120.00
loop_
_atom_site_label
_atom_site_type_symbol
_atom_site_fract_x
_atom_site_fract_y
_atom_site_fract_z
_atom_site_occupancy
Ba1 Ba 0.0000 0.0000 0.0000 1
Ba2 Ba 0.0000 0.0000 0.0991 1
Ba3 Ba 0.0000 0.0000 0.2001 1
Ba4 Ba 0.0000 0.0000 0.3986 1
Ba5 Ba 0.0000 0.0000 0.4999 1
Ba6 Ba 0.0000 0.0000 0.6018 1
Ba7 Ba 0.0000 0.0000 0.8000 1
Ba8 Ba 0.0000 0.0000 0.9001 1
Bi1 Bi 0.0000 0.0000 0.3010 1
Bi2 Bi 0.0000 0.0000 0.6991 1
F1 F 0.0000 0.0000 0.0253 1
F2 F 0.0000 0.0000 0.0751 1
F3 F 0.0000 0.0000 0.1246 1
F4 F 0.0000 0.0000 0.2254 1
F5 F 0.0000 0.0000 0.2743 1
F6 F 0.0000 0.0000 0.3251 1
F7 F 0.0000 0.0000 0.3742 1
F8 F 0.0000 0.0000 0.4253 1
F9 F 0.0000 0.0000 0.4752 1
F10 F 0.0000 0.0000 0.5247 1
F11 F 0.0000 0.0000 0.6257 1
F12 F 0.0000 0.0000 0.6757 1
F13 F 0.0000 0.0000 0.7248 1
F14 F 0.0000 0.0000 0.8250 1
F15 F 0.0000 0.0000 0.8752 1
F16 F 0.0000 0.0000 0.9238 1
F17 F 0.0000 0.0000 0.9748 1
```

Most intense lines, 2θ from 10° to 90°, by intensity:
2θ/deg  d [Å]  I_rel  (hkl)
24.8  3.594  100  1 0 10
28.6  3.125  40  0 1 20
41.1  2.196  40  1 1 0
40.6  2.224  39  1 0 40
24.4  3.654  34  0 0 30
48.4  1.882  32  1 1 30
48.6  1.874  16  0 2 10
47.9  1.900  16  0 1 50
65.5  1.426  13  2 1 10
59.1  1.563  12  0 2 40

[2]
Calculated PXRD pattern
Compound: InSb3
Radiation: copper Kα
Structure: DFT lattice parameters and positions (GGA-PBE)
Peak positions follow from Bragg's law for the DFT cell and can differ from measured ones.

Structural model:
```
data_InSb3
_chemical_formula_sum 'In1 Sb3'
_symmetry_space_group_name_H-M 'P m -3 m'
_symmetry_Int_Tables_number 221
_symmetry_space_group_name_Hall '-P 4 2 3'
_cell_length_a 4.8064
_cell_length_b 4.8064
_cell_length_c 4.8064
_cell_angle_alpha 90.00
_cell_angle_beta 90.00
_cell_angle_gamma 90.00
loop_
_atom_site_label
_atom_site_type_symbol
_atom_site_fract_x
_atom_site_fract_y
_atom_site_fract_z
_atom_site_occupancy
In1 In 0.0000 0.0000 0.0000 1
Sb1 Sb 0.0000 0.5000 0.5000 1
```

Most intense lines, 2θ from 10° to 90°, by intensity:
2θ/deg  d [Å]  I_rel  (hkl)
32.3  2.775  100  1 1 1
37.4  2.403  50  2 0 0
64.3  1.449  40  3 1 1
54.0  1.699  34  2 2 0
88.7  1.103  17  3 3 1
67.5  1.387  11  2 2 2
79.8  1.202  5  4 0 0

[3]
Calculated PXRD pattern
Compound: Sb3Ir
Radiation: copper Kα
Structure: DFT lattice parameters and positions (GGA-PBE)
Peak positions follow from Bragg's law for the DFT cell and can differ from measured ones.

Structural model:
```
data_Sb3Ir
_chemical_formula_sum 'Sb24 Ir8'
_symmetry_space_group_name_H-M 'I m -3'
_symmetry_Int_Tables_number 204
_symmetry_space_group_name_Hall '-I 2 2 3'
_cell_length_a 9.3946
_cell_length_b 9.3946
_cell_length_c 9.3946
_cell_angle_alpha 90.00
_cell_angle_beta 90.00
_cell_angle_gamma 90.00
loop_
_atom_site_label
_atom_site_type_symbol
_atom_site_fract_x
_atom_site_fract_y
_atom_site_fract_z
_atom_site_occupancy
Sb1 Sb 0.0000 0.3398 0.1540 1
Ir1 Ir 0.2500 0.2500 0.2500 1
```

Most intense lines, 2θ from 10° to 90°, by intensity:
2θ/deg  d [Å]  I_rel  (hkl)
30.1  2.971  100  3 0 1
43.1  2.101  81  4 2 0
47.4  1.918  56  4 2 2
18.9  4.697  53  2 0 0
35.8  2.511  33  3 1 2
49.5  1.842  28  4 3 1
88.3  1.107  23  6 6 0
26.8  3.321  22  2 2 0
85.2  1.139  20  6 4 4
66.0  1.416  19  6 2 2